Starting from the GGA-PBE geometry in the Materials Project, the powder X-ray diffraction pattern of Rb2HPdC4N4 was calculated for λ = 1.5418 Å (Cu Kα).

The 6 most intense peaks (2θ from 15° to 90°), by angle:
- 2θ 21.86, rel. 46, (0 2 2)
- 2θ 22.08, rel. 62, (1 2 1)
- 2θ 22.59, rel. 48, (1 0 3)
- 2θ 25.71, rel. 100, (2 1 1)
- 2θ 36.16, rel. 42, (2 3 1)
- 2θ 39.48, rel. 42, (2 2 4)

Structural model:
Lattice parameters (Å, degrees): 7.659 10.077 13.769 90.00 90.00 90.00
Space group Pnna (No. 52)
Symmetry-distinct sites (fractional):
Rb 0.211 0.250 0.250 [4 per cell]
Rb 0.250 0.000 0.596 [4 per cell]
H 0.250 0.250 0.750 [4 per cell]
Pd 0.000 0.000 0.000 [4 per cell]
C 0.007 0.512 0.356 [8 per cell]
C 0.030 0.697 0.490 [8 per cell]
N 0.017 0.527 0.271 [8 per cell]
N 0.047 0.689 0.024 [8 per cell]